This entry pairs a crystal structure of Cs3PuCu2O6 with its theoretical XRD peak list. Radiation: Cu Kα. Structure: a cell relaxed with GGA-PBE.
Lines closer than 0.1° are merged.

Largest 10 diffraction maxima, low angle first, 10 to 90 degrees two-theta:
- 2θ 11.58, rel. 27, (0 0 1)
- 2θ 16.55, rel. 23, (1 0 0)
- 2θ 28.70, rel. 100, (1 0 2)
- 2θ 28.88, rel. 93, (1 1 0)
- 2θ 41.17, rel. 41, (0 2 2)
- 2θ 51.07, rel. 42, (2 1 2)
- 2θ 51.18, rel. 19, (3 0 0)
- 2θ 56.64, rel. 18, (1 1 4)
- 2θ 67.69, rel. 18, (1 3 2)
- 2θ 82.52, rel. 20, (4 1 0)

Crystal structure
```
data_Cs3PuCu2O6
_cell_length_a 6.1832
_cell_length_b 6.1832
_cell_length_c 7.6408
_cell_angle_alpha 90.00
_cell_angle_beta 90.00
_cell_angle_gamma 120.00
_space_group_name_H-M_alt 'P -3 m 1'
_space_group_IT_number 164
_space_group_name_Hall '-P 3 2"'
loop_
_atom_site_label
_atom_site_type_symbol
_atom_site_fract_x
_atom_site_fract_y
_atom_site_fract_z
Cs1 Cs 0.0000 0.0000 0.0000
Cs2 Cs 0.3333 0.6667 0.7418
Pu1 Pu 0.0000 0.0000 0.5000
Cu1 Cu 0.3333 0.6667 0.3262
O1 O 0.1561 0.3121 0.3372
```

This entry pairs a crystal structure of CsRb2CuO2 with its theoretical XRD peak list. Radiation: Cu Kα. Structure: a cell relaxed with GGA-PBE.
Lines closer than 0.1° are merged.

Largest 10 diffraction maxima, low angle first, 10 to 90 degrees two-theta:
- 2θ 28.78, rel. 100, (1 2 1)
- 2θ 29.28, rel. 18, (2 0 0)
- 2θ 31.68, rel. 15, (0 4 0)
- 2θ 38.49, rel. 14, (0 0 2)
- 2θ 43.68, rel. 14, (2 4 0)
- 2θ 49.08, rel. 8, (2 0 2)
- 2θ 51.61, rel. 12, (3 2 1)
- 2θ 54.66, rel. 12, (1 6 1)
- 2θ 59.60, rel. 11, (2 4 2)
- 2θ 63.77, rel. 10, (1 2 3)

Crystal structure
```
data_CsRb2CuO2
_cell_length_a 6.101
_cell_length_b 11.296
_cell_length_c 4.678
_cell_angle_alpha 90.00
_cell_angle_beta 90.00
_cell_angle_gamma 90.00
_space_group_name_H-M_alt 'P n n m'
_space_group_IT_number 58
loop_
_space_group_symop_operation_xyz
'x,y,z'
'-x,-y,-z'
'-x,-y,z'
'x,y,-z'
'x+1/2,-y+1/2,-z+1/2'
'-x+1/2,y+1/2,z+1/2'
'-x+1/2,y+1/2,-z+1/2'
'x+1/2,-y+1/2,z+1/2'
loop_
_atom_site_label
_atom_site_type_symbol
_atom_site_fract_x
_atom_site_fract_y
_atom_site_fract_z
Cs1 Cs 0.000 0.000 0.000
Rb1 Rb 0.053 0.272 0.500
Cu1 Cu 0.000 0.500 0.000
O1 O 0.203 0.382 0.000
```

This entry pairs a crystal structure of CsScCuO3 with its theoretical XRD peak list. Radiation: Cu Kα. Structure: a cell relaxed with GGA-PBE.
Lines closer than 0.1° are merged.

Largest 10 diffraction maxima, low angle first, 10 to 90 degrees two-theta:
- 2θ 20.54, rel. 78, (1 0 -2)
- 2θ 21.45, rel. 42, (0 0 2)
- 2θ 25.10, rel. 71, (2 0 0)
- 2θ 28.19, rel. 31, (0 1 1)
- 2θ 32.53, rel. 63, (1 1 1)
- 2θ 35.29, rel. 100, (2 1 -1)
- 2θ 40.72, rel. 30, (1 0 -4)
- 2θ 42.58, rel. 31, (2 1 -3)
- 2θ 47.46, rel. 28, (2 1 2)
- 2θ 61.77, rel. 28, (3 1 -5)

Crystal structure
```
data_CsScCuO3
_cell_length_a 7.611
_cell_length_b 3.426
_cell_length_c 8.890
_cell_angle_alpha 90.00
_cell_angle_beta 111.22
_cell_angle_gamma 90.00
_space_group_name_H-M_alt 'P 1 21/m 1'
_space_group_IT_number 11
loop_
_space_group_symop_operation_xyz
'x,y,z'
'-x,-y,-z'
'-x,y+1/2,-z'
'x,-y+1/2,z'
loop_
_atom_site_label
_atom_site_type_symbol
_atom_site_fract_x
_atom_site_fract_y
_atom_site_fract_z
Cs1 Cs 0.032 0.250 0.281
Sc1 Sc 0.455 0.750 0.631
Cu1 Cu 0.407 0.250 0.883
O1 O 0.282 0.250 0.654
O2 O 0.372 0.750 0.386
O3 O 0.439 0.250 0.104
```

This entry pairs a crystal structure of CsTaCuO4 with its theoretical XRD peak list. Radiation: Cu Kα. Structure: a cell relaxed with GGA-PBE.
Lines closer than 0.1° are merged.

Largest 10 diffraction maxima, low angle first, 10 to 90 degrees two-theta:
- 2θ 16.05, rel. 79, (0 1 1)
- 2θ 25.25, rel. 41, (1 1 2)
- 2θ 26.88, rel. 100, (0 1 3)
- 2θ 28.52, rel. 30, (0 2 0)
- 2θ 32.59, rel. 48, (2 0 2)
- 2θ 32.93, rel. 39, (1 2 1)
- 2θ 33.06, rel. 82, (2 1 1)
- 2θ 50.87, rel. 24, (2 1 5)
- 2θ 51.85, rel. 42, (2 2 4)
- 2θ 53.46, rel. 26, (2 3 1)

Crystal structure
```
data_CsTaCuO4
_cell_length_a 6.219
_cell_length_b 6.260
_cell_length_c 11.737
_cell_angle_alpha 90.00
_cell_angle_beta 90.00
_cell_angle_gamma 90.00
_space_group_name_H-M_alt 'I m m a'
_space_group_IT_number 74
_space_group_name_Hall '-I 2b 2'
loop_
_atom_site_label
_atom_site_type_symbol
_atom_site_fract_x
_atom_site_fract_y
_atom_site_fract_z
Cs1 Cs 0.000 0.250 0.085
Ta1 Ta 0.250 0.250 0.750
Cu1 Cu 0.000 0.000 0.500
O1 O 0.000 0.048 0.757
O2 O 0.194 0.250 0.576
```

This entry pairs a crystal structure of Cs2TbCu2O4 with its theoretical XRD peak list. Radiation: Cu Kα. Structure: a cell relaxed with GGA-PBE.
Lines closer than 0.1° are merged.

Largest 10 diffraction maxima, low angle first, 10 to 90 degrees two-theta:
- 2θ 25.73, rel. 99, (4 0 -1)
- 2θ 26.66, rel. 47, (2 0 -2)
- 2θ 27.35, rel. 80, (0 0 2)
- 2θ 32.33, rel. 94, (3 1 -1)
- 2θ 32.94, rel. 39, (4 0 1)
- 2θ 36.45, rel. 53, (1 1 -2)
- 2θ 37.01, rel. 100, (3 1 1)
- 2θ 39.58, rel. 29, (6 0 0)
- 2θ 40.67, rel. 35, (5 1 -1)
- 2θ 58.08, rel. 38, (3 1 3)

Crystal structure
```
data_Cs2TbCu2O4
_cell_length_a 14.273
_cell_length_b 3.575
_cell_length_c 6.815
_cell_angle_alpha 90.00
_cell_angle_beta 106.85
_cell_angle_gamma 90.00
_space_group_name_H-M_alt 'C 1 2/m 1'
_space_group_IT_number 12
loop_
_space_group_symop_operation_xyz
'x,y,z'
'-x,-y,-z'
'-x,y,-z'
'x,-y,z'
'x+1/2,y+1/2,z'
'-x+1/2,-y+1/2,-z'
'-x+1/2,y+1/2,-z'
'x+1/2,-y+1/2,z'
loop_
_atom_site_label
_atom_site_type_symbol
_atom_site_fract_x
_atom_site_fract_y
_atom_site_fract_z
Cs1 Cs 0.134 0.000 0.067
Tb1 Tb 0.000 0.000 0.500
Cu1 Cu 0.168 0.500 0.536
O1 O 0.031 0.500 0.308
O2 O 0.176 0.000 0.635
```

This entry pairs a crystal structure of Cs2ThCuO4 with its theoretical XRD peak list. Radiation: Cu Kα. Structure: a cell relaxed with GGA-PBE.
Lines closer than 0.1° are merged.

Largest 10 diffraction maxima, low angle first, 10 to 90 degrees two-theta:
- 2θ 21.70, rel. 28, (1 1 1)
- 2θ 26.54, rel. 100, (0 2 1)
- 2θ 26.65, rel. 63, (2 1 0)
- 2θ 28.46, rel. 53, (0 0 2)
- 2θ 30.28, rel. 71, (2 1 1)
- 2θ 39.38, rel. 41, (2 1 2)
- 2θ 44.51, rel. 21, (2 3 1)
- 2θ 49.24, rel. 21, (0 2 3)
- 2θ 51.53, rel. 36, (2 1 3)
- 2θ 56.99, rel. 24, (4 2 1)

Crystal structure
```
data_Cs2ThCuO4
_cell_length_a 7.373
_cell_length_b 7.952
_cell_length_c 6.272
_cell_angle_alpha 90.00
_cell_angle_beta 90.00
_cell_angle_gamma 90.00
_space_group_name_H-M_alt 'P m n 21'
_space_group_IT_number 31
loop_
_space_group_symop_operation_xyz
'x,y,z'
'-x+1/2,-y,z+1/2'
'-x,y,z'
'x+1/2,-y,z+1/2'
loop_
_atom_site_label
_atom_site_type_symbol
_atom_site_fract_x
_atom_site_fract_y
_atom_site_fract_z
Cs1 Cs 0.244 0.147 0.000
Th1 Th 0.000 0.401 0.486
Cu1 Cu 0.000 0.668 0.985
O1 O 0.000 0.451 0.148
O2 O 0.000 0.636 0.663
O3 O 0.247 0.244 0.532
```